Simulated powder XRD pattern of NdRe4Se8 for a wavelength of 1.5418 Å, from the PBE geometry in Alexandria.

Top 12 peaks for 2θ from 15° to 90°, by angle:
hkl 4 0 -1, 2θ 27.98, I 21
hkl 4 0 0, 2θ 33.33, I 100
hkl 2 2 -3, 2θ 43.05, I 18
hkl 2 2 2, 2θ 46.92, I 35
hkl 0 4 0, 2θ 48.78, I 35
hkl 6 2 -3, 2θ 50.93, I 15
hkl 0 0 4, 2θ 57.15, I 8
hkl 2 2 3, 2θ 59.86, I 9
hkl 4 4 0, 2θ 60.37, I 18
hkl 8 0 0, 2θ 70.00, I 10
hkl 6 2 2, 2θ 78.34, I 10
hkl 8 4 -4, 2θ 81.16, I 10

Crystal structure
abc: 12.9236 7.4729 7.7526
angles: 90.00 123.71 90.00
Space group C2/m (No. 12)
Symmetry-distinct sites (fractional):
1 Nd 0.0000 0.0000 0.0000
2 Re 0.0000 0.0000 0.5000
3 Re 0.0000 0.5000 0.5000
4 Re 0.2500 0.2500 0.5000
5 Se 0.0088 0.2572 0.2839
6 Se 0.2339 0.5000 0.7162
7 Se 0.2390 0.0000 0.7166



Simulated powder XRD pattern of ZrInSb for a wavelength of 1.5418 Å, from the PBE geometry in Alexandria.

Top 12 peaks for 2θ from 15° to 90°, by angle:
hkl 0 0 3, 2θ 26.78, I 7
hkl 1 0 2, 2θ 29.11, I 13
hkl 1 1 0, 2θ 32.57, I 83
hkl 1 0 3, 2θ 35.50, I 100
hkl 1 1 3, 2θ 42.65, I 8
hkl 2 0 0, 2θ 46.72, I 30
hkl 2 1 3, 2θ 60.02, I 42
hkl 1 1 6, 2θ 65.56, I 7
hkl 2 2 0, 2θ 68.22, I 9
hkl 3 1 0, 2θ 77.66, I 13
hkl 3 0 3, 2θ 79.33, I 9
hkl 2 1 7, 2θ 88.68, I 8

Crystal structure
abc: 3.8882 3.8882 9.9872
angles: 90.00 90.00 90.00
Space group P4/nmm (No. 129, origin choice 2)
Symmetry-distinct sites (fractional):
1 Zr 0.2500 0.2500 0.0956
2 In 0.2500 0.2500 0.4138
3 Sb 0.2500 0.2500 0.7944



Simulated powder XRD pattern of Cs2Se3 for a wavelength of 1.5418 Å, from the PBE geometry in Alexandria.

Top 12 peaks for 2θ from 15° to 90°, by angle:
hkl 1 1 1, 2θ 16.13, I 16
hkl 0 2 1, 2θ 21.56, I 24
hkl 2 0 2, 2θ 26.03, I 82
hkl 2 2 1, 2θ 27.89, I 100
hkl 0 2 3, 2θ 34.95, I 47
hkl 4 0 0, 2θ 35.38, I 26
hkl 0 4 0, 2θ 39.15, I 15
hkl 2 4 2, 2θ 47.62, I 24
hkl 4 2 3, 2θ 50.59, I 32
hkl 4 4 0, 2θ 53.79, I 12
hkl 2 2 5, 2θ 56.46, I 20
hkl 6 2 1, 2θ 59.04, I 12

Crystal structure
abc: 10.1469 9.2032 9.2791
angles: 90.00 90.00 90.00
Space group Cmc2_1 (No. 36)
Symmetry-distinct sites (fractional):
1 Cs 0.2488 0.1185 0.0000
2 Se 0.0000 0.0838 0.7012
3 Se 0.0000 0.1439 0.3281
4 Se 0.0000 0.3549 0.1745



Simulated powder XRD pattern of Ag2Pd8Pt for a wavelength of 1.5418 Å, from the PBE geometry in Alexandria.

Top 12 peaks for 2θ from 15° to 90°, by angle:
hkl 0 4 1, 2θ 39.64, I 100
hkl 3 1 1, 2θ 40.37, I 91
hkl 3 3 0, 2θ 41.70, I 39
hkl 0 0 2, 2θ 42.77, I 41
hkl 3 5 0, 2θ 54.32, I 20
hkl 3 3 2, 2θ 61.26, I 25
hkl 3 5 2, 2θ 71.50, I 17
hkl 3 7 1, 2θ 74.24, I 13
hkl 0 4 3, 2θ 76.22, I 14
hkl 3 1 3, 2θ 76.70, I 14
hkl 6 4 1, 2θ 82.85, I 23
hkl 6 0 2, 2θ 84.92, I 12

Crystal structure
abc: 8.1417 10.7877 4.2283
angles: 90.00 90.00 90.00
Space group Cmmm (No. 65)
Symmetry-distinct sites (fractional):
1 Ag 0.0000 0.1222 0.0000
2 Pd 0.0000 0.2616 0.5000
3 Pd 0.1686 0.3683 0.0000
4 Pd 0.1715 0.0000 0.5000
5 Pt 0.0000 0.5000 0.5000



Simulated powder XRD pattern of GaSn3Pb4 for a wavelength of 1.5418 Å, from the PBE geometry in Alexandria.

Top 12 peaks for 2θ from 15° to 90°, by angle:
hkl 7 1 0, 2θ 29.00, I 100
hkl 1 1 -1, 2θ 31.82, I 70
hkl 3 1 -1, 2θ 32.44, I 43
hkl 6 0 1, 2θ 33.32, I 56
hkl 9 1 0, 2θ 33.99, I 40
hkl 7 1 -1, 2θ 37.02, I 28
hkl 10 0 -1, 2θ 37.80, I 39
hkl 0 2 0, 2θ 38.98, I 43
hkl 6 2 1, 2θ 52.20, I 32
hkl 10 2 -1, 2θ 55.43, I 27
hkl 5 1 2, 2θ 60.26, I 27
hkl 17 1 -1, 2θ 60.95, I 46

Crystal structure
abc: 29.1194 4.6207 3.5440
angles: 90.00 96.94 90.00
Space group C2/m (No. 12)
Symmetry-distinct sites (fractional):
1 Ga 0.0000 0.0000 0.0000
2 Sn 0.0000 0.5000 0.5000
3 Sn 0.1545 0.5000 0.1492
4 Pb 0.0920 0.0000 0.5931
5 Pb 0.2157 0.0000 0.7139



Simulated powder XRD pattern of Y4Tl2Au for a wavelength of 1.5418 Å, from the PBE geometry in Alexandria.

Top 12 peaks for 2θ from 15° to 90°, by angle:
hkl 1 0 1, 2θ 19.91, I 10
hkl 0 0 6, 2θ 20.79, I 10
hkl 1 0 4, 2θ 24.05, I 7
hkl 0 1 5, 2θ 26.24, I 7
hkl 1 1 0, 2θ 34.27, I 100
hkl 1 1 6, 2θ 40.42, I 5
hkl 1 1 9, 2θ 47.15, I 6
hkl 2 0 8, 2θ 49.25, I 18
hkl 1 2 8, 2θ 61.36, I 26
hkl 3 0 0, 2θ 61.41, I 9
hkl 2 2 0, 2θ 72.26, I 6
hkl 3 1 8, 2θ 82.42, I 15

Crystal structure
abc: 5.2298 5.2298 25.6714
angles: 90.00 90.00 120.00
Space group R-3m (No. 166, hexagonal axes)
Symmetry-distinct sites (fractional):
1 Y 0.0000 0.0000 0.1224
2 Y 0.0000 0.0000 0.3734
3 Tl 0.0000 0.0000 0.2446
4 Au 0.0000 0.0000 0.0000



Simulated powder XRD pattern of Mn2FeBrN for a wavelength of 1.5418 Å, from the PBE geometry in Alexandria.

Top 12 peaks for 2θ from 15° to 90°, by angle:
hkl 1 0 0, 2θ 18.80, I 100
hkl 0 0 1, 2θ 20.42, I 15
hkl 1 1 1, 2θ 33.86, I 62
hkl 2 0 0, 2θ 38.14, I 71
hkl 0 0 2, 2θ 41.53, I 28
hkl 2 1 0, 2θ 42.85, I 23
hkl 1 0 2, 2θ 45.96, I 19
hkl 2 2 0, 2θ 55.04, I 23
hkl 2 0 2, 2θ 57.65, I 39
hkl 2 1 2, 2θ 61.20, I 16
hkl 3 1 1, 2θ 66.21, I 15
hkl 2 2 2, 2θ 71.24, I 20

Crystal structure
abc: 4.7191 4.7191 4.3487
angles: 90.00 90.00 90.00
Space group P4/mmm (No. 123)
Symmetry-distinct sites (fractional):
1 Mn 0.0000 0.5000 0.0000
2 Fe 0.0000 0.0000 0.0000
3 Br 0.0000 0.0000 0.5000
4 N 0.5000 0.5000 0.5000



Simulated powder XRD pattern of BaNaH6Ru for a wavelength of 1.5418 Å, from the PBE geometry in Alexandria.

Top 12 peaks for 2θ from 15° to 90°, by angle:
hkl 0 0 1, 2θ 18.90, I 17
hkl 1 0 0, 2θ 20.09, I 18
hkl 0 1 1, 2θ 26.25, I 46
hkl 1 1 -1, 2θ 27.14, I 100
hkl 1 0 1, 2θ 33.76, I 40
hkl 2 0 -1, 2θ 35.86, I 18
hkl 0 2 0, 2θ 36.57, I 16
hkl 0 1 2, 2θ 42.68, I 16
hkl 2 1 0, 2θ 44.98, I 21
hkl 1 2 1, 2θ 50.62, I 26
hkl 2 2 -1, 2θ 52.15, I 12
hkl 2 1 -3, 2θ 56.93, I 14

Crystal structure
abc: 5.0085 4.9138 5.3195
angles: 90.00 118.01 90.00
Space group Pm (No. 6)
Symmetry-distinct sites (fractional):
1 Ba 0.0000 0.0000 0.0000
2 Na 0.3305 0.5000 0.6610
3 H 0.5242 0.2488 0.0497
4 H 0.5631 0.2701 0.4804
5 H 0.9177 0.2700 0.4830
6 Ru 0.6532 0.5000 0.3049



Simulated powder XRD pattern of CsVCuTe2 for a wavelength of 1.5418 Å, from the PBE geometry in Alexandria.

Top 12 peaks for 2θ from 15° to 90°, by angle:
hkl 1 3 1, 2θ 25.81, I 100
hkl 0 0 2, 2θ 27.36, I 10
hkl 2 0 0, 2θ 28.19, I 25
hkl 0 2 2, 2θ 29.61, I 11
hkl 1 5 1, 2θ 34.37, I 11
hkl 2 4 1, 2θ 38.87, I 8
hkl 2 0 2, 2θ 39.69, I 15
hkl 0 6 2, 2θ 43.97, I 15
hkl 2 6 0, 2θ 44.53, I 9
hkl 1 3 3, 2θ 47.43, I 16
hkl 3 3 1, 2θ 48.47, I 18
hkl 2 6 2, 2θ 53.05, I 13

Crystal structure
abc: 6.3307 15.9366 6.5193
angles: 90.00 90.00 90.00
Space group Cmme (No. 67)
Symmetry-distinct sites (fractional):
1 Cs 0.0000 0.2500 0.2358
2 V 0.2500 0.0000 0.5000
3 Cu 0.0000 0.0000 0.0000
4 Te 0.0000 0.1058 0.7226



Simulated powder XRD pattern of PmCO3 for a wavelength of 1.5418 Å, from the PBE geometry in Alexandria.

Top 12 peaks for 2θ from 15° to 90°, by angle:
hkl 0 0 3, 2θ 16.56, I 12
hkl 0 1 2, 2θ 23.23, I 100
hkl 1 0 4, 2θ 30.27, I 43
hkl 0 0 6, 2θ 33.48, I 29
hkl 0 1 5, 2θ 34.70, I 18
hkl 1 1 0, 2θ 35.70, I 46
hkl 2 0 2, 2θ 43.03, I 47
hkl 0 2 4, 2θ 47.49, I 30
hkl 1 1 6, 2θ 49.75, I 24
hkl 1 2 2, 2θ 57.11, I 19
hkl 2 1 4, 2θ 60.81, I 13
hkl 1 1 9, 2θ 63.97, I 10

Crystal structure
abc: 5.0297 5.0297 16.0614
angles: 90.00 90.00 120.00
Space group R-3m (No. 166, hexagonal axes)
Symmetry-distinct sites (fractional):
1 Pm 0.0000 0.0000 0.2337
2 C 0.0000 0.0000 0.4062
3 O 0.0287 0.5143 0.2444



Simulated powder XRD pattern of AgHg for a wavelength of 1.5418 Å, from the PBE geometry in Alexandria.

Top 12 peaks for 2θ from 15° to 90°, by angle:
hkl 0 0 3, 2θ 18.61, I 11
hkl 1 0 1, 2θ 33.27, I 9
hkl 0 1 2, 2θ 35.04, I 100
hkl 0 0 6, 2θ 37.73, I 27
hkl 1 0 4, 2θ 41.50, I 63
hkl 0 1 5, 2θ 45.83, I 4
hkl 1 1 0, 2θ 58.28, I 23
hkl 0 1 8, 2θ 61.95, I 19
hkl 2 0 2, 2θ 69.85, I 13
hkl 1 1 6, 2θ 71.53, I 25
hkl 0 2 4, 2θ 74.05, I 11
hkl 1 0 10, 2θ 74.86, I 11

Crystal structure
abc: 3.1666 3.1666 14.3052
angles: 90.00 90.00 120.00
Space group R-3m (No. 166, hexagonal axes)
Symmetry-distinct sites (fractional):
1 Ag 0.0000 0.0000 0.0000
2 Hg 0.0000 0.0000 0.5000



Simulated powder XRD pattern of Tl2FeTe for a wavelength of 1.5418 Å, from the PBE geometry in Alexandria.

Top 12 peaks for 2θ from 15° to 90°, by angle:
hkl 1 1 0, 2θ 25.43, I 22
hkl 2 0 -2, 2θ 29.62, I 100
hkl 2 0 1, 2θ 31.78, I 14
hkl 1 1 -2, 2θ 31.94, I 27
hkl 0 0 3, 2θ 35.15, I 17
hkl 1 1 -3, 2θ 40.48, I 15
hkl 3 1 -1, 2θ 44.23, I 28
hkl 0 2 0, 2θ 44.34, I 14
hkl 2 2 -2, 2θ 54.24, I 12
hkl 2 2 1, 2θ 55.58, I 9
hkl 0 2 3, 2θ 57.82, I 16
hkl 5 1 -3, 2θ 72.39, I 10

Crystal structure
abc: 7.1000 4.0862 8.0057
angles: 90.00 106.93 90.00
Space group Cm (No. 8)
Symmetry-distinct sites (fractional):
1 Tl 0.0000 0.0000 0.0000
2 Tl 0.2277 0.0000 0.6852
3 Fe 0.4930 0.0000 0.4793
4 Te 0.2776 0.5000 0.3326